# 1
Computed X-ray powder pattern
Compound: Th5As5N
Radiation: Cu Kα
Structure: the PBE geometry in Alexandria
No peak broadening, texture or thermal motion is included.

Principal peaks in the range 2θ = 10–90°, by angle:
- 2θ = 26.26°, I 57
- 2θ = 26.41°, I 59
- 2θ = 30.34°, I 100
- 2θ = 30.47°, I 89
- 2θ = 30.70°, I 95
- 2θ = 43.56°, I 99
- 2θ = 43.71°, I 73
- 2θ = 54.37°, I 36

Structural model:
Lattice parameters (Å, degrees): 7.2025 7.2025 8.2340 107.00 107.00 48.29
Atoms (fractional coordinates):
Th: 0.0000 0.0000 0.0000
Th: 0.3414 0.3414 0.6789
Th: 0.3515 0.3515 0.1562
Th: 0.6485 0.6485 0.8438
Th: 0.6586 0.6586 0.3211
As: 0.1643 0.1643 0.8300
As: 0.1762 0.1762 0.3312
As: 0.5000 0.5000 0.5000
As: 0.8238 0.8238 0.6688
As: 0.8357 0.8357 0.1700
N: 0.5000 0.5000 0.0000

---

# 2
Computed X-ray powder pattern
Compound: GaAgPb2Se
Radiation: Cu Kα
Structure: the PBE geometry in Alexandria
No peak broadening, texture or thermal motion is included.

Principal peaks in the range 2θ = 10–90°, by angle:
- 2θ = 14.85°, I 24
- 2θ = 29.55°, I 100
- 2θ = 29.74°, I 39
- 2θ = 29.95°, I 34
- 2θ = 33.09°, I 24
- 2θ = 33.60°, I 27
- 2θ = 36.55°, I 89
- 2θ = 50.17°, I 19

Structural model:
Lattice parameters (Å, degrees): 3.6370 6.0518 6.2275 89.50 73.36 89.74
Atoms (fractional coordinates):
Ga: 0.0000 0.0000 0.0000
Ag: 0.5843 0.7139 0.8325
Pb: 0.2843 0.7903 0.4188
Pb: 0.7324 0.2805 0.5226
Se: 0.4914 0.3050 0.0155

---

# 3
Computed X-ray powder pattern
Compound: Pm6Pr2Sm3Dy
Radiation: Cu Kα
Structure: the PBE geometry in Alexandria
No peak broadening, texture or thermal motion is included.

Principal peaks in the range 2θ = 10–90°, by angle:
- 2θ = 30.00°, I 100
- 2θ = 34.78°, I 51
- 2θ = 50.01°, I 36
- 2θ = 59.41°, I 22
- 2θ = 59.44°, I 22
- 2θ = 62.35°, I 12
- 2θ = 81.30°, I 18
- 2θ = 83.88°, I 16

Structural model:
Lattice parameters (Å, degrees): 6.3163 6.3163 12.1034 95.01 95.01 119.98
Atoms (fractional coordinates):
Pm: 0.0835 0.4155 0.7509
Pm: 0.2486 0.2486 0.2488
Pm: 0.4155 0.0835 0.7509
Pm: 0.5845 0.9165 0.2491
Pm: 0.7514 0.7514 0.7512
Pm: 0.9165 0.5845 0.2491
Pr: 0.3333 0.6667 0.5000
Pr: 0.6667 0.3333 0.5000
Sm: 0.1664 0.8336 0.0000
Sm: 0.5000 0.5000 0.0000
Sm: 0.8336 0.1664 0.0000
Dy: 0.0000 0.0000 0.5000

---

# 4
Computed X-ray powder pattern
Compound: Pm4YHo10
Radiation: Cu Kα
Structure: the PBE geometry in Alexandria
No peak broadening, texture or thermal motion is included.

Principal peaks in the range 2θ = 10–90°, by angle:
- 2θ = 19.94°, I 20
- 2θ = 23.06°, I 21
- 2θ = 32.84°, I 100
- 2θ = 38.72°, I 11
- 2θ = 47.13°, I 18
- 2θ = 58.63°, I 38
- 2θ = 68.86°, I 12
- 2θ = 78.37°, I 11

Structural model:
Lattice parameters (Å, degrees): 9.4494 9.4494 9.4494 99.57 99.57 131.88
Atoms (fractional coordinates):
Pm: 0.1005 0.2992 0.3996
Pm: 0.2992 0.8995 0.1987
Pm: 0.7008 0.1005 0.8013
Pm: 0.8995 0.7008 0.6004
Y: 0.5000 0.5000 0.0000
Ho: 0.0506 0.1512 0.7006
Ho: 0.1512 0.4507 0.1007
Ho: 0.2500 0.7500 0.5000
Ho: 0.3500 0.0506 0.8993
Ho: 0.4507 0.3500 0.2994
Ho: 0.5493 0.6500 0.7006
Ho: 0.6500 0.9494 0.1007
Ho: 0.7500 0.2500 0.5000
Ho: 0.8488 0.5493 0.8993
Ho: 0.9494 0.8488 0.2994

---

# 5
Computed X-ray powder pattern
Compound: TlTcPt
Radiation: Cu Kα
Structure: the PBE geometry in Alexandria
No peak broadening, texture or thermal motion is included.

Principal peaks in the range 2θ = 10–90°, by angle:
- 2θ = 31.16°, I 10
- 2θ = 37.56°, I 100
- 2θ = 43.34°, I 36
- 2θ = 44.25°, I 13
- 2θ = 62.97°, I 12
- 2θ = 63.67°, I 18
- 2θ = 75.69°, I 26
- 2θ = 80.17°, I 10

Structural model:
Lattice parameters (Å, degrees): 6.4853 6.4853 6.4853 153.69 153.69 37.56
Atoms (fractional coordinates):
Tl: 0.0000 0.0000 0.0000
Tc: 0.6770 0.6770 0.0000
Pt: 0.3122 0.3122 0.0000

---

# 6
Computed X-ray powder pattern
Compound: Nd5TmIn6
Radiation: Cu Kα
Structure: the PBE geometry in Alexandria
No peak broadening, texture or thermal motion is included.

Principal peaks in the range 2θ = 10–90°, by angle:
- 2θ = 32.89°, I 100
- 2θ = 32.96°, I 50
- 2θ = 47.16°, I 18
- 2θ = 47.40°, I 9
- 2θ = 58.72°, I 37
- 2θ = 58.88°, I 18
- 2θ = 69.10°, I 11
- 2θ = 78.50°, I 11

Structural model:
Lattice parameters (Å, degrees): 9.4317 9.4317 5.4517 106.77 106.77 120.19
Atoms (fractional coordinates):
Nd: 0.0000 0.0000 0.0000
Nd: 0.1644 0.8356 0.5000
Nd: 0.3276 0.6724 0.0000
Nd: 0.6724 0.3276 0.0000
Nd: 0.8356 0.1644 0.5000
Tm: 0.5000 0.5000 0.5000
In: 0.0955 0.4207 0.2581
In: 0.2650 0.2650 0.7647
In: 0.4207 0.0955 0.2581
In: 0.5793 0.9045 0.7419
In: 0.7350 0.7350 0.2353
In: 0.9045 0.5793 0.7419

---

# 7
Computed X-ray powder pattern
Compound: LiTm2Al8
Radiation: Cu Kα
Structure: the PBE geometry in Alexandria
No peak broadening, texture or thermal motion is included.

Principal peaks in the range 2θ = 10–90°, by angle:
- 2θ = 15.97°, I 42
- 2θ = 20.72°, I 79
- 2θ = 26.27°, I 38
- 2θ = 31.95°, I 49
- 2θ = 33.69°, I 61
- 2θ = 38.38°, I 100
- 2θ = 42.16°, I 48
- 2θ = 74.55°, I 28

Structural model:
Lattice parameters (Å, degrees): 4.2870 4.2870 11.1027 90.00 90.00 90.00
Atoms (fractional coordinates):
Li: 0.0000 0.0000 0.0000
Tm: 0.0000 0.0000 0.3134
Tm: 0.0000 0.0000 0.6866
Al: 0.0000 0.5000 0.1262
Al: 0.0000 0.5000 0.5000
Al: 0.0000 0.5000 0.8738
Al: 0.5000 0.0000 0.1262
Al: 0.5000 0.0000 0.5000
Al: 0.5000 0.0000 0.8738
Al: 0.5000 0.5000 0.3055
Al: 0.5000 0.5000 0.6945

---

# 8
Computed X-ray powder pattern
Compound: Sr5Cd3
Radiation: Cu Kα
Structure: the PBE geometry in Alexandria
No peak broadening, texture or thermal motion is included.

Principal peaks in the range 2θ = 10–90°, by angle:
- 2θ = 17.90°, I 13
- 2θ = 27.94°, I 100
- 2θ = 28.77°, I 12
- 2θ = 29.75°, I 33
- 2θ = 32.26°, I 50
- 2θ = 32.61°, I 11
- 2θ = 55.59°, I 20
- 2θ = 58.09°, I 12

Structural model:
Lattice parameters (Å, degrees): 10.3131 10.3131 10.3131 129.64 129.64 73.99
Atoms (fractional coordinates):
Sr: 0.0000 0.0000 0.0000
Sr: 0.0204 0.5204 0.8357
Sr: 0.1847 0.0204 0.5000
Sr: 0.3153 0.8153 0.8357
Sr: 0.4796 0.3153 0.5000
Sr: 0.5000 0.5000 0.0000
Sr: 0.5204 0.6847 0.5000
Sr: 0.6847 0.1847 0.1643
Sr: 0.8153 0.9796 0.5000
Sr: 0.9796 0.4796 0.1643
Cd: 0.1233 0.3767 0.5000
Cd: 0.2500 0.2500 0.0000
Cd: 0.3767 0.8767 0.2533
Cd: 0.6233 0.1233 0.7467
Cd: 0.7500 0.7500 0.0000
Cd: 0.8767 0.6233 0.5000

---

# 9
Computed X-ray powder pattern
Compound: LaZn4Pt2
Radiation: Cu Kα
Structure: the PBE geometry in Alexandria
No peak broadening, texture or thermal motion is included.

Principal peaks in the range 2θ = 10–90°, by angle:
- 2θ = 31.25°, I 100
- 2θ = 32.02°, I 47
- 2θ = 35.48°, I 74
- 2θ = 36.47°, I 62
- 2θ = 41.72°, I 47
- 2θ = 42.85°, I 79
- 2θ = 43.64°, I 51
- 2θ = 44.27°, I 49

Structural model:
Lattice parameters (Å, degrees): 7.9304 7.9304 4.0920 90.00 90.00 149.67
Atoms (fractional coordinates):
La: 0.0000 0.0000 0.0000
Zn: 0.1908 0.8092 0.5000
Zn: 0.3092 0.6908 0.0000
Zn: 0.6908 0.3092 0.0000
Zn: 0.8092 0.1908 0.5000
Pt: 0.4127 0.5873 0.5000
Pt: 0.5873 0.4127 0.5000

---

# 10
Computed X-ray powder pattern
Compound: NdMg2AlAu4
Radiation: Cu Kα
Structure: the PBE geometry in Alexandria
No peak broadening, texture or thermal motion is included.

Principal peaks in the range 2θ = 10–90°, by angle:
- 2θ = 26.18°, I 70
- 2θ = 28.09°, I 24
- 2θ = 32.69°, I 44
- 2θ = 35.28°, I 76
- 2θ = 39.35°, I 100
- 2θ = 43.94°, I 23
- 2θ = 53.87°, I 23
- 2θ = 66.85°, I 30

Structural model:
Lattice parameters (Å, degrees): 9.2292 9.2292 9.2292 28.73 28.73 28.73
Atoms (fractional coordinates):
Nd: 0.0000 0.0000 0.0000
Mg: 0.2405 0.2405 0.2405
Mg: 0.7595 0.7595 0.7595
Al: 0.5000 0.5000 0.5000
Au: 0.1322 0.1322 0.1322
Au: 0.3971 0.3971 0.3971
Au: 0.6029 0.6029 0.6029
Au: 0.8678 0.8678 0.8678

---

# 11
Computed X-ray powder pattern
Compound: K2NaTcH6
Radiation: Cu Kα
Structure: the PBE geometry in Alexandria
No peak broadening, texture or thermal motion is included.

Principal peaks in the range 2θ = 10–90°, by angle:
- 2θ = 18.74°, I 41
- 2θ = 30.80°, I 100
- 2θ = 30.97°, I 20
- 2θ = 36.27°, I 14
- 2θ = 44.22°, I 15
- 2θ = 54.72°, I 21
- 2θ = 54.99°, I 14
- 2θ = 64.17°, I 11

Structural model:
Lattice parameters (Å, degrees): 5.8046 5.8046 5.8046 120.34 119.93 89.77
Atoms (fractional coordinates):
K: 0.2488 0.2488 0.0000
K: 0.7512 0.7512 0.0000
Na: 0.0000 0.5000 0.5000
Tc: 0.5000 0.0000 0.5000
H: 0.2781 0.2161 0.4942
H: 0.2781 0.7839 0.0620
H: 0.2821 0.7821 0.5000
H: 0.7179 0.2179 0.5000
H: 0.7219 0.2161 0.9380
H: 0.7219 0.7839 0.5058

---

# 12
Computed X-ray powder pattern
Compound: Yb3Zn11
Radiation: Cu Kα
Structure: the PBE geometry in Alexandria
No peak broadening, texture or thermal motion is included.

Principal peaks in the range 2θ = 10–90°, by angle:
- 2θ = 28.87°, I 25
- 2θ = 34.04°, I 35
- 2θ = 35.33°, I 100
- 2θ = 35.71°, I 42
- 2θ = 36.52°, I 47
- 2θ = 36.62°, I 29
- 2θ = 39.12°, I 30
- 2θ = 41.10°, I 51

Structural model:
Lattice parameters (Å, degrees): 8.2052 8.2052 8.2052 148.95 114.22 74.52
Atoms (fractional coordinates):
Yb: 0.0000 0.0000 0.0000
Yb: 0.2941 0.2941 0.0000
Yb: 0.7059 0.7059 0.0000
Zn: 0.0188 0.6618 0.3570
Zn: 0.1521 0.8650 0.2872
Zn: 0.3049 0.6618 0.6430
Zn: 0.3173 0.5000 0.8173
Zn: 0.4222 0.1350 0.2872
Zn: 0.5000 0.0000 0.5000
Zn: 0.5778 0.8650 0.7128
Zn: 0.6827 0.5000 0.1827
Zn: 0.6951 0.3382 0.3570
Zn: 0.8479 0.1350 0.7128
Zn: 0.9812 0.3382 0.6430